Computed X-ray powder pattern of Ag2Bi2S3Cl2 for CuKα, from a crystal structure in Alexandria, relaxed with GGA-PBE.
Neutral-atom scattering factors, no anomalous dispersion.

```
data_Ag2Bi2S3Cl2
_chemical_formula_sum 'Ag8 Bi8 S12 Cl8'
_space_group_name_H-M_alt 'P 1'
_space_group_IT_number 1
_cell_length_a 7.3015
_cell_length_b 11.4170
_cell_length_c 11.4587
_cell_angle_alpha 107.45
_cell_angle_beta 90.02
_cell_angle_gamma 90.23
loop_
_space_group_symop_operation_xyz
'x,y,z'
loop_
_atom_site_label
_atom_site_type_symbol
_atom_site_fract_x
_atom_site_fract_y
_atom_site_fract_z
Ag1 Ag 0.0007 0.2002 0.2803
Ag2 Ag 0.2481 0.9873 0.1590
Ag3 Ag 0.2520 0.9877 0.6717
Ag4 Ag 0.4939 0.8002 0.2184
Ag5 Ag 0.5061 0.1998 0.7816
Ag6 Ag 0.7480 0.0123 0.3283
Ag7 Ag 0.7519 0.0127 0.8410
Ag8 Ag 0.9993 0.7998 0.7197
Bi1 Bi 0.0896 0.7015 0.3547
Bi2 Bi 0.0964 0.2990 0.9786
Bi3 Bi 0.4062 0.2981 0.4807
Bi4 Bi 0.4087 0.7002 0.8524
Bi5 Bi 0.5913 0.2998 0.1476
Bi6 Bi 0.5938 0.7019 0.5193
Bi7 Bi 0.9036 0.7010 0.0214
Bi8 Bi 0.9104 0.2985 0.6453
S1 S 0.0015 0.1363 0.7660
S2 S 0.1052 0.1583 0.4672
S3 S 0.1128 0.8433 0.9306
S4 S 0.3862 0.8445 0.4303
S5 S 0.3959 0.1594 0.9682
S6 S 0.4960 0.1364 0.2659
S7 S 0.5040 0.8636 0.7341
S8 S 0.6041 0.8406 0.0318
S9 S 0.6138 0.1555 0.5697
S10 S 0.8872 0.1567 0.0694
S11 S 0.8948 0.8417 0.5328
S12 S 0.9985 0.8637 0.2340
Cl1 Cl 0.2331 0.3977 0.2515
Cl2 Cl 0.2424 0.5967 0.5625
Cl3 Cl 0.2544 0.5963 0.0618
Cl4 Cl 0.2708 0.3976 0.7516
Cl5 Cl 0.7292 0.6024 0.2484
Cl6 Cl 0.7456 0.4037 0.9382
Cl7 Cl 0.7576 0.4033 0.4375
Cl8 Cl 0.7669 0.6023 0.7485
```

Top 10 peaks for 2θ = 10–80°, sorted by position:
(hkl)  2θ/deg  I (rel.)
0 2 0  16.3  100
1 2 -2  22.8  48
1 1 2  23.7  47
2 1 -1  26.3  51
1 -1 3  26.3  41
1 0 -3  27.4  71
1 -2 3  27.9  37
1 3 -3  31.6  57
1 -1 4  33.7  56
1 2 3  35.7  46